# GaCu4Pd
Calculated X-ray powder pattern, Cu Kα (λ = 1.5418 Å). Input: a cell relaxed with PBE.
Kinematic intensities with the Lorentz-polarization factor, no thermal factor.

Crystal structure
```
data_GaCu4Pd
_chemical_formula_sum 'Ga1 Cu4 Pd1'
_cell_length_a 4.1899
_cell_length_b 4.1899
_cell_length_c 5.1466
_cell_angle_alpha 90.23
_cell_angle_beta 90.23
_cell_angle_gamma 60.11
_space_group_name_H-M_alt 'P 1'
_space_group_IT_number 1
loop_
_space_group_symop_operation_xyz
'x,y,z'
loop_
_atom_site_label
_atom_site_type_symbol
_atom_site_fract_x
_atom_site_fract_y
_atom_site_fract_z
Ga1 Ga 0.0000 0.0000 0.0000
Cu1 Cu 0.3329 0.3329 0.3095
Cu2 Cu 0.3339 0.3339 0.8117
Cu3 Cu 0.6661 0.6661 0.1883
Cu4 Cu 0.6671 0.6671 0.6905
Pd1 Pd 0.0000 0.0000 0.5000
```

Most intense lines, 2θ = 5–70°, in order of falling intensity:
43.1°, I = 100.0
43.0°, I = 22.0
62.5°, I = 12.4
62.8°, I = 5.9
24.5°, I = 2.5
30.1°, I = 1.7
17.2°, I = 1.2
62.7°, I = 0.9